Entry 1:
Structure and calculated X-ray diffraction stick pattern of Sm3In3Ni2 (a cell relaxed with GGA-PBE; CuKα).

Largest 10 diffraction maxima, low angle first, 2θ from 10° to 90°:
d [Å], 2θ (°), intensity
3.016, 29.62, 53
2.794, 32.03, 32
2.709, 33.06, 100
2.537, 35.38, 30
2.514, 35.72, 64
2.206, 40.91, 42
1.716, 53.39, 16
1.664, 55.18, 16
1.545, 59.85, 16
1.522, 60.86, 17

Atomic structure:
Lattice parameters (Å, degrees): 17.0592 4.4110 5.1082 90.00 100.63 90.00
Space group C2/m (No. 12)
One atom of each set of equivalent atoms:
Sm1 0.0000 0.0000 0.0000 (multiplicity 2)
Sm2 0.1648 0.0000 0.5955 (multiplicity 4)
In1 0.0000 0.5000 0.5000 (multiplicity 2)
In2 0.1401 0.5000 0.0854 (multiplicity 4)
Ni1 0.2270 0.0000 0.1216 (multiplicity 4)

Entry 2:
Structure and calculated X-ray diffraction stick pattern of NiBi5Pd2 (a cell relaxed with GGA-PBE; CuKα).

Largest 10 diffraction maxima, low angle first, 2θ from 10° to 90°:
d [Å], 2θ (°), intensity
6.882, 12.86, 53
4.968, 17.85, 100
3.330, 26.77, 32
3.301, 27.01, 98
2.983, 29.96, 31
2.714, 33.01, 88
2.664, 33.64, 99
2.139, 42.25, 78
1.901, 47.85, 63
1.414, 66.07, 30

Atomic structure:
Lattice parameters (Å, degrees): 5.3276 13.7634 13.2397 90.00 90.00 90.00
Space group Cmcm (No. 63)
One atom of each set of equivalent atoms:
Ni1 0.0000 0.1872 0.2500 (multiplicity 4)
Bi1 0.0000 0.0481 0.1206 (multiplicity 8)
Bi2 0.0000 0.2542 0.7500 (multiplicity 4)
Bi3 0.0000 0.2964 0.0790 (multiplicity 8)
Pd1 0.0000 0.1434 0.5667 (multiplicity 8)

Entry 3:
Structure and calculated X-ray diffraction stick pattern of Tb8CeY5 (a cell relaxed with GGA-PBE; CuKα).

Largest 10 diffraction maxima, low angle first, 2θ from 10° to 90°:
d [Å], 2θ (°), intensity
3.921, 22.68, 28
3.229, 27.63, 74
3.021, 29.57, 71
2.998, 29.80, 80
2.809, 31.85, 25
2.668, 33.58, 100
2.591, 34.62, 59
2.548, 35.23, 58
1.865, 48.84, 21
1.637, 56.20, 28

Atomic structure:
Lattice parameters (Å, degrees): 9.4808 9.4808 10.3016 90.00 90.00 90.00
Space group I-4 (No. 82)
One atom of each set of equivalent atoms:
Tb1 0.0707 0.3241 0.1032 (multiplicity 8)
Tb2 0.0864 0.1799 0.7521 (multiplicity 8)
Ce1 0.0000 0.5000 0.7500 (multiplicity 2)
Y1 0.0000 0.0000 0.0000 (multiplicity 2)
Y2 0.1134 0.2085 0.4265 (multiplicity 8)

Entry 4:
Structure and calculated X-ray diffraction stick pattern of LiDy2Pd (a cell relaxed with GGA-PBE; CuKα).

Largest 10 diffraction maxima, low angle first, 2θ from 10° to 90°:
d [Å], 2θ (°), intensity
7.712, 11.47, 91
3.522, 25.29, 20
3.405, 26.17, 34
3.034, 29.44, 17
2.823, 31.70, 100
2.057, 44.02, 41
1.988, 45.64, 18
1.940, 46.82, 33
1.663, 55.25, 21
1.293, 73.20, 18

Atomic structure:
Lattice parameters (Å, degrees): 4.1142 4.1142 23.1354 90.00 90.00 120.00
Space group R3m (No. 160, hexagonal axes)
One atom of each set of equivalent atoms:
Li1 0.0000 0.0000 0.0000 (multiplicity 3)
Dy1 0.0000 0.0000 0.5617 (multiplicity 3)
Dy2 0.0000 0.0000 0.7664 (multiplicity 3)
Pd1 0.0000 0.0000 0.1632 (multiplicity 3)

Entry 5:
Structure and calculated X-ray diffraction stick pattern of LiDyGe2Pt5 (a cell relaxed with GGA-PBE; CuKα).

Largest 10 diffraction maxima, low angle first, 2θ from 10° to 90°:
d [Å], 2θ (°), intensity
4.680, 18.96, 16
2.478, 36.25, 100
2.340, 38.47, 12
2.133, 42.38, 38
2.066, 43.82, 42
1.549, 59.71, 14
1.461, 63.70, 14
1.387, 67.52, 14
1.259, 75.55, 24
1.205, 79.53, 12

Atomic structure:
Lattice parameters (Å, degrees): 4.1321 4.1321 9.3592 90.00 90.00 90.00
Space group P4/mmm (No. 123)
One atom of each set of equivalent atoms:
Li1 0.0000 0.0000 0.0000 (multiplicity 1)
Dy1 0.0000 0.0000 0.5000 (multiplicity 1)
Ge1 0.5000 0.5000 0.1307 (multiplicity 2)
Pt1 0.0000 0.5000 0.2754 (multiplicity 4)
Pt2 0.5000 0.5000 0.5000 (multiplicity 1)

Entry 6:
Structure and calculated X-ray diffraction stick pattern of NaLa3Hg2 (a cell relaxed with GGA-PBE; CuKα).

Largest 10 diffraction maxima, low angle first, 2θ from 10° to 90°:
d [Å], 2θ (°), intensity
8.373, 10.57, 11
5.260, 16.86, 16
2.806, 31.89, 100
2.791, 32.07, 22
2.770, 32.32, 25
2.002, 45.30, 16
1.966, 46.17, 16
1.614, 57.05, 14
1.606, 57.37, 19
1.403, 66.66, 11

Atomic structure:
Lattice parameters (Å, degrees): 5.5404 16.7461 4.0051 90.00 90.00 90.00
Space group Cmmm (No. 65)
One atom of each set of equivalent atoms:
Na1 0.0000 0.0000 0.0000 (multiplicity 2)
La1 0.0000 0.1780 0.5000 (multiplicity 4)
La2 0.0000 0.5000 0.5000 (multiplicity 2)
Hg1 0.0000 0.3447 0.0000 (multiplicity 4)

Entry 7:
Structure and calculated X-ray diffraction stick pattern of Tb7MnI12 (a cell relaxed with GGA-PBE; CuKα).

Largest 10 diffraction maxima, low angle first, 2θ from 10° to 90°:
d [Å], 2θ (°), intensity
8.529, 10.37, 11
7.886, 11.22, 29
3.579, 24.88, 12
3.113, 28.68, 100
2.215, 40.74, 34
2.187, 41.28, 35
1.790, 51.03, 18
1.556, 59.39, 14
1.399, 66.88, 10
1.385, 67.64, 13

Atomic structure:
Lattice parameters (Å, degrees): 15.7724 15.7724 10.9202 90.00 90.00 120.00
Space group R-3 (No. 148, hexagonal axes)
One atom of each set of equivalent atoms:
Tb1 0.0000 0.0000 0.0000 (multiplicity 3)
Tb2 0.0423 0.1550 0.3651 (multiplicity 18)
Mn1 0.0000 0.0000 0.5000 (multiplicity 3)
I1 0.0221 0.5867 0.1604 (multiplicity 18)
I2 0.0491 0.1755 0.8357 (multiplicity 18)

Entry 8:
Structure and calculated X-ray diffraction stick pattern of ErLu2P (a cell relaxed with GGA-PBE; CuKα).

Largest 10 diffraction maxima, low angle first, 2θ from 10° to 90°:
d [Å], 2θ (°), intensity
3.334, 26.74, 57
3.133, 28.49, 100
3.083, 28.96, 38
2.538, 35.36, 18
2.412, 37.28, 72
2.173, 41.56, 44
1.819, 50.16, 40
1.597, 57.74, 41
1.540, 60.08, 17
1.229, 77.71, 21

Atomic structure:
Lattice parameters (Å, degrees): 3.6373 3.6373 30.0080 90.00 90.00 120.00
Space group R-3m (No. 166, hexagonal axes)
One atom of each set of equivalent atoms:
Er1 0.0000 0.0000 0.0000 (multiplicity 3)
Lu1 0.0000 0.0000 0.1129 (multiplicity 6)
P1 0.0000 0.0000 0.5000 (multiplicity 3)

Entry 9:
Structure and calculated X-ray diffraction stick pattern of PmEr2Se4 (a cell relaxed with GGA-PBE; CuKα).

Largest 10 diffraction maxima, low angle first, 2θ from 10° to 90°:
d [Å], 2θ (°), intensity
6.788, 13.04, 24
2.909, 30.73, 100
2.860, 31.28, 48
2.074, 43.64, 19
2.056, 44.05, 37
2.041, 44.39, 18
2.024, 44.79, 35
1.661, 55.30, 28
1.292, 73.26, 16
1.181, 81.49, 12

Atomic structure:
Lattice parameters (Å, degrees): 6.9912 4.0817 7.1421 90.00 108.11 90.00
Space group P2/m (No. 10)
One atom of each set of equivalent atoms:
Pm1 0.0000 0.0000 0.0000 (multiplicity 1)
Er1 0.0000 0.5000 0.5000 (multiplicity 1)
Er2 0.5000 0.0000 0.5000 (multiplicity 1)
Se1 0.2451 0.0000 0.7363 (multiplicity 2)
Se2 0.2610 0.5000 0.2557 (multiplicity 2)

Entry 10:
Structure and calculated X-ray diffraction stick pattern of HfB12 (a cell relaxed with GGA-PBE; CuKα).

Largest 10 diffraction maxima, low angle first, 2θ from 10° to 90°:
d [Å], 2θ (°), intensity
4.263, 20.84, 100
3.692, 24.10, 73
2.611, 34.35, 45
2.226, 40.52, 99
2.132, 42.40, 30
1.694, 54.14, 33
1.651, 55.66, 25
1.507, 61.52, 28
1.248, 76.29, 31
1.231, 77.57, 20

Atomic structure:
Lattice parameters (Å, degrees): 7.3844 7.3844 7.3844 90.00 90.00 90.00
Space group Fm-3m (No. 225)
One atom of each set of equivalent atoms:
Hf1 0.0000 0.0000 0.0000 (multiplicity 4)
B1 0.0000 0.1696 0.3304 (multiplicity 48)

Entry 11:
Structure and calculated X-ray diffraction stick pattern of CsRbZnGeTeH (a cell relaxed with GGA-PBE; CuKα).

Largest 10 diffraction maxima, low angle first, 2θ from 10° to 90°:
d [Å], 2θ (°), intensity
5.235, 16.94, 32
4.000, 22.23, 23
3.572, 24.93, 17
3.238, 27.55, 100
2.955, 30.25, 25
2.769, 32.33, 17
2.742, 32.65, 28
2.256, 39.96, 16
1.855, 49.10, 17
1.743, 52.51, 17

Atomic structure:
Lattice parameters (Å, degrees): 4.5123 5.4847 17.5347 90.00 90.00 90.00
Space group Imm2 (No. 44)
One atom of each set of equivalent atoms:
Cs1 0.0000 0.0000 0.0000 (multiplicity 2)
Rb1 0.0000 0.5000 0.2277 (multiplicity 2)
Zn1 0.0000 0.5000 0.8240 (multiplicity 2)
Ge1 0.0000 0.0000 0.3821 (multiplicity 2)
Te1 0.0000 0.5000 0.6761 (multiplicity 2)
H1 0.0000 0.0000 0.4741 (multiplicity 2)